Simulated powder diffractogram
Compound: Co6CuPt
Radiation: Cu Kα X-rays
Structure: a GGA-PBE-relaxed structure

Cell and atoms:
Lattice parameters (Å, degrees): 6.2555 6.2555 10.1972 90.00 90.00 109.58
Fractional coordinates of all 32 atoms:
Co1 0.0000 0.0000 0.0000
Co2 0.0000 0.0000 0.5000
Co3 0.1188 0.3731 0.1223
Co4 0.1188 0.3731 0.8777
Co5 0.1232 0.3681 0.3726
Co6 0.1232 0.3681 0.6274
Co7 0.2468 0.7532 0.2457
Co8 0.2468 0.7532 0.7543
Co9 0.3681 0.1232 0.3726
Co10 0.3681 0.1232 0.6274
Co11 0.3731 0.1188 0.1223
Co12 0.3731 0.1188 0.8777
Co13 0.5000 0.5000 0.0000
Co14 0.5000 0.5000 0.5000
Co15 0.6269 0.8812 0.1223
Co16 0.6269 0.8812 0.8777
Co17 0.6319 0.8768 0.3726
Co18 0.6319 0.8768 0.6274
Co19 0.7532 0.2468 0.2457
Co20 0.7532 0.2468 0.7543
Co21 0.8768 0.6319 0.3726
Co22 0.8768 0.6319 0.6274
Co23 0.8812 0.6269 0.1223
Co24 0.8812 0.6269 0.8777
Cu1 0.0000 0.0000 0.2463
Cu2 0.0000 0.0000 0.7537
Cu3 0.2516 0.7484 0.0000
Cu4 0.7484 0.2516 0.0000
Pt1 0.2513 0.7487 0.5000
Pt2 0.5000 0.5000 0.2463
Pt3 0.5000 0.5000 0.7537
Pt4 0.7487 0.2513 0.5000

The 10 most intense peaks (2θ from 10° to 90°), in order of falling intensity:
2θ/deg	Rel. int.
43.43	100
50.59	47
74.37	23
24.67	15
35.17	13
57.06	6
15.03	5
74.22	5
23.07	4
31.61	4